[1]
Structure and theoretical powder diffraction line list of Fe4Se3Br (a crystal structure in the Materials Project, relaxed with GGA-PBE; copper Kα).

Structure:
abc: 6.689 6.689 6.689
angles: 133.78 133.78 67.43
Element x y z (fractional)
Fe 0.248 0.248 0.497
Fe 0.248 0.752 0.000
Fe 0.752 0.248 0.000
Fe 0.752 0.752 0.503
Se 0.123 0.623 0.500
Se 0.623 0.123 0.500
Se 0.875 0.875 0.000
Br 0.375 0.375 0.000

Peak list (10 most intense, 15 to 90 degrees two-theta, in order of falling intensity)
- d 3.088, I = 100
- d 1.909, I = 73
- d 5.564, I = 62
- d 1.856, I = 36
- d 1.591, I = 27
- d 2.374, I = 25
- d 1.659, I = 15
- d 1.313, I = 13
- d 1.113, I = 13
- d 1.237, I = 12

---

[2]
Structure and theoretical powder diffraction line list of Y3Ge6Pt4 (a crystal structure in the Materials Project, relaxed with GGA-PBE; copper Kα).

Structure:
abc: 8.806 4.362 13.376
angles: 90.00 99.46 90.00
Element x y z (fractional)
Y 0.066 0.250 0.314
Y 0.235 0.750 0.939
Y 0.410 0.750 0.688
Y 0.590 0.250 0.312
Y 0.765 0.250 0.061
Y 0.934 0.750 0.686
Ge 0.120 0.250 0.067
Ge 0.126 0.750 0.494
Ge 0.194 0.250 0.778
Ge 0.304 0.750 0.216
Ge 0.377 0.250 0.498
Ge 0.414 0.250 0.068
Ge 0.586 0.750 0.932
Ge 0.623 0.750 0.502
Ge 0.696 0.250 0.784
Ge 0.806 0.750 0.222
Ge 0.874 0.250 0.506
Ge 0.880 0.750 0.933
Pt 0.030 0.750 0.125
Pt 0.151 0.250 0.591
Pt 0.353 0.750 0.399
Pt 0.467 0.250 0.876
Pt 0.533 0.750 0.124
Pt 0.647 0.250 0.601
Pt 0.849 0.750 0.409
Pt 0.970 0.250 0.875

Peak list (10 most intense, 15 to 90 degrees two-theta, in order of falling intensity)
- d 2.672, I = 100
- d 2.631, I = 57
- d 2.181, I = 57
- d 2.440, I = 46
- d 1.897, I = 43
- d 2.201, I = 41
- d 4.141, I = 38
- d 1.626, I = 27
- d 1.549, I = 27
- d 3.077, I = 25

---

[3]
Structure and theoretical powder diffraction line list of NaEuSe2 (a crystal structure in the Materials Project, relaxed with GGA-PBE; copper Kα).

Structure:
abc: 4.282 4.282 5.971
angles: 90.00 90.00 90.00
Element x y z (fractional)
Na 0.000 0.000 0.000
Eu 0.500 0.500 0.500
Se 0.000 0.000 0.500
Se 0.500 0.500 0.000

Peak list (10 most intense, 15 to 90 degrees two-theta, in order of falling intensity)
- d 3.028, I = 100
- d 2.126, I = 73
- d 2.986, I = 48
- d 1.740, I = 39
- d 2.141, I = 37
- d 4.282, I = 33
- d 1.233, I = 25
- d 2.700, I = 21
- d 1.354, I = 17
- d 1.350, I = 17